Diffraction record for LaCu10Ni2. The X-ray diffraction stick pattern is theoretical, not measured: it uses a DFT-relaxed cell (GGA-PBE, Alexandria) and CuKα.
Lines closer than 0.1° are merged.

Atomic structure:
abc: 4.8688 11.9915 12.0771
angles: 90.00 90.00 90.00
Space group Fmmm (No. 69)
Symmetry-distinct sites (fractional):
1 La 0.0000 0.0000 0.0000 x4
2 Cu 0.0000 0.1157 0.3855 x16
3 Cu 0.0000 0.1798 0.1756 x16
4 Cu 0.2500 0.0000 0.2500 x8
5 Ni 0.2500 0.2500 0.0000 x8

Principal peaks in the range 2θ = 10–80°, most intense first:
Position (°2θ)	intensity
42.48	100
42.80	65
42.69	44
36.67	38
47.98	35
78.00	26
48.15	17
36.92	17
29.75	13
29.85	12